(1)
Simulated powder diffractogram
Compound: La3Nd2Tl3
Radiation: Cu Kα X-rays
Structure: DFT lattice parameters and positions (GGA-PBE)
Intensities are scaled so that the largest is 1000.

Structural model:
```
data_La3Nd2Tl3
_space_group_name_H-M_alt 'I m m m'
_space_group_IT_number 71
_space_group_name_Hall '-I 2 2'
_cell_length_a 3.946
_cell_length_b 5.645
_cell_length_c 23.526
_cell_angle_alpha 90.00
_cell_angle_beta 90.00
_cell_angle_gamma 90.00
loop_
_atom_site_label
_atom_site_fract_x
_atom_site_fract_y
_atom_site_fract_z
La1 0.000 0.000 0.000
La2 0.000 0.500 0.123
Nd1 0.000 0.000 0.233
Tl1 0.000 0.000 0.500
Tl2 0.000 0.500 0.379
```

Principal peaks in the range 10° ≤ 2θ ≤ 80°, sorted by position:
2θ (°)  d/Å  I/Imax  (hkl)
30.40  2.941  243  0 0 8
31.57  2.834  1000  1 1 4
31.70  2.822  258  0 2 0
44.49  2.036  172  0 2 8
46.00  1.973  93  2 0 0
54.75  1.677  153  1 1 12
56.14  1.638  87  2 0 8
56.39  1.632  200  1 3 4
56.95  1.617  99  2 2 0
65.92  1.417  107  2 2 8

(2)
Simulated powder diffractogram
Compound: La3Nd8Tl4
Radiation: Cu Kα X-rays
Structure: DFT lattice parameters and positions (GGA-PBE)
Intensities are scaled so that the largest is 1000.

Structural model:
```
data_La3Nd8Tl4
_space_group_name_H-M_alt 'C 1 2/m 1'
_space_group_IT_number 12
_cell_length_a 13.451
_cell_length_b 12.879
_cell_length_c 6.862
_cell_angle_alpha 90.00
_cell_angle_beta 120.11
_cell_angle_gamma 90.00
loop_
_space_group_symop_operation_xyz
'x,y,z'
'-x,-y,-z'
'-x,y,-z'
'x,-y,z'
'x+1/2,y+1/2,z'
'-x+1/2,-y+1/2,-z'
'-x+1/2,y+1/2,-z'
'x+1/2,-y+1/2,z'
loop_
_atom_site_label
_atom_site_fract_x
_atom_site_fract_y
_atom_site_fract_z
La1 0.000 0.000 0.000
La2 0.250 0.250 0.500
Nd1 0.000 0.257 0.500
Nd2 0.000 0.260 0.000
Nd3 0.235 0.500 0.469
Nd4 0.245 0.500 0.996
Tl1 0.000 0.000 0.500
Tl2 0.000 0.500 0.000
Tl3 0.250 0.250 0.000
```

Principal peaks in the range 10° ≤ 2θ ≤ 80°, sorted by position:
2θ (°)  d/Å  I/Imax  (hkl)
27.71  3.220  1000  0 4 0
30.11  2.968  801  0 0 2
30.37  2.943  797  4 0 -2
30.74  2.909  759  4 0 0
41.37  2.182  672  0 4 2
41.58  2.172  676  4 4 -2
41.85  2.158  651  4 4 0
61.22  1.514  215  4 4 -4
61.85  1.500  196  4 4 2
62.30  1.490  201  8 4 -2